# 1
Calculated powder XRD pattern
Compound: GaSiPb2Au6
Radiation: Cu Kα
Structure: the GGA-PBE geometry in Alexandria

Top 10 peaks for 2θ = 10–80°, by angle:
25.84 deg, 3.448 Å, I = 36
28.50 deg, 3.132 Å, I = 97
32.62 deg, 2.745 Å, I = 48
37.29 deg, 2.411 Å, I = 100
37.80 deg, 2.380 Å, I = 67
39.77 deg, 2.267 Å, I = 53
40.27 deg, 2.240 Å, I = 34
42.92 deg, 2.107 Å, I = 19
46.46 deg, 1.955 Å, I = 23
56.03 deg, 1.641 Å, I = 42

Structural model:
```
data_GaSiPb2Au6
_chemical_formula_sum 'Ga2 Si2 Pb4 Au12'
_cell_length_a 5.6955
_cell_length_b 9.0671
_cell_length_c 8.6649
_cell_angle_alpha 90.00
_cell_angle_beta 90.00
_cell_angle_gamma 90.00
_symmetry_space_group_name_H-M 'P 1'
_symmetry_Int_Tables_number 1
_symmetry_space_group_name_Hall 'P 1'
loop_
_atom_site_label
_atom_site_type_symbol
_atom_site_fract_x
_atom_site_fract_y
_atom_site_fract_z
Ga1 Ga 0.2500 0.2500 0.2281
Ga2 Ga 0.7500 0.7500 0.7719
Si1 Si 0.2500 0.7500 0.2547
Si2 Si 0.7500 0.2500 0.7453
Pb1 Pb 0.2500 0.5128 0.7873
Pb2 Pb 0.2500 0.9872 0.7873
Pb3 Pb 0.7500 0.0128 0.2127
Pb4 Pb 0.7500 0.4872 0.2127
Au1 Au 0.0024 0.2500 0.4945
Au2 Au 0.0015 0.2500 0.9780
Au3 Au 0.2500 0.5028 0.3750
Au4 Au 0.2500 0.9972 0.3750
Au5 Au 0.4976 0.2500 0.4945
Au6 Au 0.4985 0.2500 0.9780
Au7 Au 0.5015 0.7500 0.0220
Au8 Au 0.5024 0.7500 0.5055
Au9 Au 0.7500 0.0028 0.6250
Au10 Au 0.7500 0.4972 0.6250
Au11 Au 0.9985 0.7500 0.0220
Au12 Au 0.9976 0.7500 0.5055
```

# 2
Calculated powder XRD pattern
Compound: Ba3CdPd2
Radiation: Cu Kα
Structure: the GGA-PBE geometry in Alexandria

Top 10 peaks for 2θ = 10–80°, by angle:
17.90 deg, 4.954 Å, I = 17
21.12 deg, 4.207 Å, I = 18
21.45 deg, 4.143 Å, I = 22
23.56 deg, 3.777 Å, I = 17
23.85 deg, 3.731 Å, I = 30
31.56 deg, 2.835 Å, I = 28
31.79 deg, 2.815 Å, I = 100
35.66 deg, 2.518 Å, I = 73
36.26 deg, 2.477 Å, I = 34
64.84 deg, 1.438 Å, I = 16

Structural model:
```
data_Ba3CdPd2
_chemical_formula_sum 'Ba6 Cd2 Pd4'
_cell_length_a 5.7528
_cell_length_b 9.9088
_cell_length_c 7.6637
_cell_angle_alpha 90.00
_cell_angle_beta 99.72
_cell_angle_gamma 90.00
_symmetry_space_group_name_H-M 'P 1'
_symmetry_Int_Tables_number 1
_symmetry_space_group_name_Hall 'P 1'
loop_
_atom_site_label
_atom_site_type_symbol
_atom_site_fract_x
_atom_site_fract_y
_atom_site_fract_z
Ba1 Ba 0.0563 0.2500 0.2684
Ba2 Ba 0.4354 0.0351 0.7476
Ba3 Ba 0.4354 0.4649 0.7476
Ba4 Ba 0.5646 0.5351 0.2524
Ba5 Ba 0.5646 0.9649 0.2524
Ba6 Ba 0.9437 0.7500 0.7316
Cd1 Cd 0.0624 0.7500 0.1978
Cd2 Cd 0.9376 0.2500 0.8022
Pd1 Pd 0.0000 0.0000 0.0000
Pd2 Pd 0.0000 0.5000 0.0000
Pd3 Pd 0.3944 0.7500 0.5179
Pd4 Pd 0.6056 0.2500 0.4821
```

# 3
Calculated powder XRD pattern
Compound: Rb2SrLi2F7
Radiation: Cu Kα
Structure: the GGA-PBE geometry in Alexandria

Top 10 peaks for 2θ = 10–80°, by angle:
22.36 deg, 3.977 Å, I = 67
24.67 deg, 3.608 Å, I = 39
30.23 deg, 2.956 Å, I = 78
31.27 deg, 2.861 Å, I = 68
40.21 deg, 2.243 Å, I = 100
40.28 deg, 2.239 Å, I = 33
44.81 deg, 2.023 Å, I = 63
50.61 deg, 1.803 Å, I = 26
51.81 deg, 1.764 Å, I = 21
54.99 deg, 1.670 Å, I = 23

Structural model:
```
data_Rb2SrLi2F7
_chemical_formula_sum 'Rb2 Sr1 Li2 F7'
_cell_length_a 4.0456
_cell_length_b 4.0456
_cell_length_c 11.1894
_cell_angle_alpha 100.31
_cell_angle_beta 100.31
_cell_angle_gamma 90.00
_symmetry_space_group_name_H-M 'P 1'
_symmetry_Int_Tables_number 1
_symmetry_space_group_name_Hall 'P 1'
loop_
_atom_site_label
_atom_site_type_symbol
_atom_site_fract_x
_atom_site_fract_y
_atom_site_fract_z
Rb1 Rb 0.1810 0.1810 0.3606
Rb2 Rb 0.8190 0.8190 0.6394
Sr1 Sr 0.0000 0.0000 0.0000
Li1 Li 0.4071 0.4071 0.8141
Li2 Li 0.5929 0.5929 0.1859
F1 F 0.0805 0.5804 0.1591
F2 F 0.3133 0.3133 0.6286
F3 F 0.4196 0.9195 0.8409
F4 F 0.5000 0.5000 0.0000
F5 F 0.5804 0.0805 0.1591
F6 F 0.6867 0.6867 0.3714
F7 F 0.9195 0.4196 0.8409
```

# 4
Calculated powder XRD pattern
Compound: Mg7In2Ga2
Radiation: Cu Kα
Structure: the GGA-PBE geometry in Alexandria

Top 10 peaks for 2θ = 10–80°, by angle:
11.13 deg, 7.947 Å, I = 66
16.55 deg, 5.356 Å, I = 72
23.28 deg, 3.821 Å, I = 69
25.43 deg, 3.503 Å, I = 55
33.84 deg, 2.649 Å, I = 58
35.98 deg, 2.496 Å, I = 90
36.67 deg, 2.450 Å, I = 100
37.79 deg, 2.381 Å, I = 65
38.44 deg, 2.342 Å, I = 71
39.54 deg, 2.279 Å, I = 87

Structural model:
```
data_Mg7In2Ga2
_chemical_formula_sum 'Mg7 In2 Ga2'
_cell_length_a 5.6156
_cell_length_b 5.6156
_cell_length_c 8.2915
_cell_angle_alpha 100.36
_cell_angle_beta 100.36
_cell_angle_gamma 101.81
_symmetry_space_group_name_H-M 'P 1'
_symmetry_Int_Tables_number 1
_symmetry_space_group_name_Hall 'P 1'
loop_
_atom_site_label
_atom_site_type_symbol
_atom_site_fract_x
_atom_site_fract_y
_atom_site_fract_z
Mg1 Mg 0.0000 0.0000 0.0000
Mg2 Mg 0.0958 0.4736 0.8289
Mg3 Mg 0.1244 0.1244 0.3789
Mg4 Mg 0.4736 0.0958 0.8289
Mg5 Mg 0.5264 0.9042 0.1711
Mg6 Mg 0.8756 0.8756 0.6211
Mg7 Mg 0.9042 0.5264 0.1711
In1 In 0.3053 0.6947 0.5000
In2 In 0.6947 0.3053 0.5000
Ga1 Ga 0.3943 0.3943 0.1694
Ga2 Ga 0.6057 0.6057 0.8306
```

# 5
Calculated powder XRD pattern
Compound: Zr6In3C
Radiation: Cu Kα
Structure: the GGA-PBE geometry in Alexandria

Top 10 peaks for 2θ = 10–80°, by angle:
29.25 deg, 3.054 Å, I = 52
31.07 deg, 2.879 Å, I = 46
32.78 deg, 2.732 Å, I = 39
33.19 deg, 2.699 Å, I = 46
33.78 deg, 2.654 Å, I = 60
34.21 deg, 2.621 Å, I = 100
34.65 deg, 2.589 Å, I = 40
36.64 deg, 2.453 Å, I = 38
37.58 deg, 2.394 Å, I = 44
38.78 deg, 2.322 Å, I = 54

Structural model:
```
data_Zr6In3C
_chemical_formula_sum 'Zr12 In6 C2'
_cell_length_a 5.9277
_cell_length_b 7.7983
_cell_length_c 10.9828
_cell_angle_alpha 90.00
_cell_angle_beta 119.33
_cell_angle_gamma 90.00
_symmetry_space_group_name_H-M 'P 1'
_symmetry_Int_Tables_number 1
_symmetry_space_group_name_Hall 'P 1'
loop_
_atom_site_label
_atom_site_type_symbol
_atom_site_fract_x
_atom_site_fract_y
_atom_site_fract_z
Zr1 Zr 0.0755 0.0573 0.2211
Zr2 Zr 0.0755 0.4427 0.7211
Zr3 Zr 0.1679 0.7326 0.0588
Zr4 Zr 0.1679 0.7674 0.5588
Zr5 Zr 0.3823 0.1400 0.0408
Zr6 Zr 0.3823 0.3600 0.5408
Zr7 Zr 0.6177 0.6400 0.4592
Zr8 Zr 0.6177 0.8600 0.9592
Zr9 Zr 0.8321 0.2326 0.4412
Zr10 Zr 0.8321 0.2674 0.9412
Zr11 Zr 0.9245 0.5573 0.2789
Zr12 Zr 0.9245 0.9427 0.7789
In1 In 0.3282 0.1036 0.7296
In2 In 0.3282 0.3964 0.2296
In3 In 0.5000 0.0000 0.5000
In4 In 0.5000 0.5000 0.0000
In5 In 0.6718 0.6036 0.7704
In6 In 0.6718 0.8964 0.2704
C1 C 0.0000 0.0000 0.0000
C2 C 0.0000 0.5000 0.5000
```

# 6
Calculated powder XRD pattern
Compound: AcMg5Rh2
Radiation: Cu Kα
Structure: the GGA-PBE geometry in Alexandria

Top 10 peaks for 2θ = 10–80°, by angle:
13.80 deg, 6.418 Å, I = 76
21.22 deg, 4.186 Å, I = 61
22.88 deg, 3.887 Å, I = 19
29.70 deg, 3.008 Å, I = 100
31.41 deg, 2.848 Å, I = 40
34.30 deg, 2.615 Å, I = 41
42.11 deg, 2.146 Å, I = 30
42.87 deg, 2.110 Å, I = 72
61.66 deg, 1.504 Å, I = 20
62.51 deg, 1.486 Å, I = 19

Structural model:
```
data_AcMg5Rh2
_chemical_formula_sum 'Ac2 Mg10 Rh4'
_cell_length_a 4.2185
_cell_length_b 8.3720
_cell_length_c 9.9956
_cell_angle_alpha 90.00
_cell_angle_beta 90.00
_cell_angle_gamma 90.00
_symmetry_space_group_name_H-M 'P 1'
_symmetry_Int_Tables_number 1
_symmetry_space_group_name_Hall 'P 1'
loop_
_atom_site_label
_atom_site_type_symbol
_atom_site_fract_x
_atom_site_fract_y
_atom_site_fract_z
Ac1 Ac 0.0000 0.0000 0.0000
Ac2 Ac 0.5000 0.5000 0.5000
Mg1 Mg 0.0000 0.1815 0.3328
Mg2 Mg 0.0000 0.1815 0.6672
Mg3 Mg 0.0000 0.5000 0.0000
Mg4 Mg 0.0000 0.8185 0.3328
Mg5 Mg 0.0000 0.8185 0.6672
Mg6 Mg 0.5000 0.0000 0.5000
Mg7 Mg 0.5000 0.3185 0.1672
Mg8 Mg 0.5000 0.3185 0.8328
Mg9 Mg 0.5000 0.6815 0.1672
Mg10 Mg 0.5000 0.6815 0.8328
Rh1 Rh 0.0000 0.5000 0.2666
Rh2 Rh 0.0000 0.5000 0.7334
Rh3 Rh 0.5000 0.0000 0.2334
Rh4 Rh 0.5000 0.0000 0.7666
```

- Number 2 is which compound?
  Ba3CdPd2